Record 1
The following is a computed X-ray powder pattern of Rb2LiPuCl4O2. It was derived from a cell relaxed with GGA-PBE, using a wavelength of 1.5418 Å.

Structural model:
```
data_Rb2LiPuCl4O2
_chemical_formula_sum 'Rb2 Li1 Pu1 Cl4 O2'
_cell_length_a 6.013
_cell_length_b 7.253
_cell_length_c 7.321
_cell_angle_alpha 62.45
_cell_angle_beta 86.24
_cell_angle_gamma 89.77
_symmetry_space_group_name_H-M 'P 1'
_symmetry_Int_Tables_number 1
_symmetry_space_group_name_Hall 'P 1'
loop_
_atom_site_label
_atom_site_type_symbol
_atom_site_fract_x
_atom_site_fract_y
_atom_site_fract_z
_atom_site_occupancy
Rb1 Rb 0.000 0.000 0.000 1
Rb2 Rb 0.466 0.718 0.666 1
Li1 Li 0.210 0.321 0.382 1
Pu1 Pu 0.714 0.396 0.281 1
Cl1 Cl 0.448 0.265 0.652 1
Cl2 Cl 0.492 0.760 0.152 1
Cl3 Cl 0.938 0.504 0.907 1
Cl4 Cl 0.955 0.033 0.451 1
O1 O 0.477 0.286 0.215 1
O2 O 0.951 0.507 0.347 1
```

Peak list (12 most intense, 2θ from 10° to 80°, by angle)
2θ (°)	d/Å	I_rel	index
13.72	6.453	99	0 0 1
14.23	6.226	67	0 1 1
14.77	5.998	70	1 0 0
19.44	4.566	100	1 0 1
20.55	4.322	85	1 1 0
20.96	4.237	60	-1 1 1
24.39	3.649	80	0 1 2
24.57	3.624	64	0 2 1
31.18	2.868	76	1 -2 0
32.36	2.767	64	1 0 -2
32.59	2.747	45	2 -1 0
41.81	2.161	39	-1 2 3

---

Record 2
The following is a computed X-ray powder pattern of Mg7Si8O24. It was derived from a cell relaxed with GGA-PBE, using a wavelength of 1.5418 Å.

Structural model:
```
data_Mg7Si8O24
_chemical_formula_sum 'Mg14 Si16 O48'
_cell_length_a 9.596
_cell_length_b 18.360
_cell_length_c 5.362
_cell_angle_alpha 90.00
_cell_angle_beta 102.27
_cell_angle_gamma 90.00
_symmetry_space_group_name_H-M 'C 1 2/m 1'
_symmetry_Int_Tables_number 12
_symmetry_space_group_name_Hall '-C 2y'
loop_
_atom_site_label
_atom_site_type_symbol
_atom_site_fract_x
_atom_site_fract_y
_atom_site_fract_z
_atom_site_occupancy
Mg1 Mg 0.000 0.000 0.000 1
Mg2 Mg 0.000 0.092 0.500 1
Mg3 Mg 0.000 0.178 0.000 1
Mg4 Mg 0.000 0.256 0.500 1
Si1 Si 0.202 0.330 0.220 1
Si2 Si 0.213 0.416 0.726 1
O1 O 0.093 0.000 0.685 1
O2 O 0.113 0.088 0.207 1
O3 O 0.118 0.255 0.232 1
O4 O 0.123 0.175 0.715 1
O5 O 0.150 0.381 0.442 1
O6 O 0.151 0.368 0.935 1
O7 O 0.158 0.500 0.730 1
```

Peak list (12 most intense, 2θ from 10° to 80°, by angle)
2θ (°)	d/Å	I_rel	index
10.59	8.351	75	1 1 0
19.34	4.590	42	0 4 0
22.82	3.897	63	1 3 -1
25.69	3.468	56	1 3 1
27.19	3.280	46	2 4 0
28.98	3.081	100	3 1 0
32.36	2.767	92	1 5 1
33.92	2.643	35	0 6 1
35.53	2.527	60	2 0 -2
40.96	2.203	36	2 6 1
55.09	1.667	39	4 6 1
66.13	1.413	43	6 6 -1

---

Record 3
The following is a computed X-ray powder pattern of Na3Ti2Si2PO12. It was derived from a cell relaxed with GGA-PBE, using a wavelength of 1.5418 Å.

Structural model:
```
data_Na3Ti2Si2PO12
_chemical_formula_sum 'Na12 Ti8 Si8 P4 O48'
_cell_length_a 15.370
_cell_length_b 8.888
_cell_length_c 9.032
_cell_angle_alpha 90.00
_cell_angle_beta 124.65
_cell_angle_gamma 90.00
_symmetry_space_group_name_H-M 'C 1 c 1'
_symmetry_Int_Tables_number 9
_symmetry_space_group_name_Hall 'C -2yc'
loop_
_atom_site_label
_atom_site_type_symbol
_atom_site_fract_x
_atom_site_fract_y
_atom_site_fract_z
_atom_site_occupancy
Na1 Na 0.000 0.067 0.000 1
Na2 Na 0.067 0.249 0.749 1
Na3 Na 0.133 0.432 0.498 1
Ti1 Ti 0.216 0.245 0.194 1
Ti2 Ti 0.413 0.256 0.805 1
Si1 Si 0.172 0.102 0.498 1
Si2 Si 0.314 0.457 0.997 1
P1 P 0.460 0.103 0.501 1
O1 O 0.056 0.322 0.016 1
O2 O 0.070 0.184 0.478 1
O3 O 0.165 0.078 0.020 1
O4 O 0.173 0.135 0.320 1
O5 O 0.235 0.358 0.022 1
O6 O 0.240 0.432 0.323 1
O7 O 0.276 0.186 0.669 1
O8 O 0.362 0.182 0.335 1
O9 O 0.393 0.434 0.673 1
O10 O 0.397 0.358 0.977 1
O11 O 0.461 0.131 0.670 1
O12 O 0.466 0.067 0.977 1
```

Peak list (12 most intense, 2θ from 10° to 80°, by angle)
2θ (°)	d/Å	I_rel	index
13.98	6.334	24	1 1 -1
19.67	4.513	43	2 0 -2
20.00	4.440	32	3 1 -1
23.34	3.812	63	0 2 1
28.20	3.164	27	4 0 0
31.03	2.882	28	5 1 -2
31.40	2.849	100	0 2 2
35.00	2.564	42	3 3 -1
42.50	2.127	16	0 4 1
45.08	2.011	15	5 1 1
47.72	1.906	35	6 2 0
60.51	1.530	15	3 5 -3

---

Record 4
The following is a computed X-ray powder pattern of Gd2HfO5. It was derived from a cell relaxed with GGA-PBE, using a wavelength of 1.5418 Å.

Structural model:
```
data_Gd2HfO5
_chemical_formula_sum 'Gd8 Hf4 O20'
_cell_length_a 11.956
_cell_length_b 5.548
_cell_length_c 7.729
_cell_angle_alpha 90.00
_cell_angle_beta 112.77
_cell_angle_gamma 90.00
_symmetry_space_group_name_H-M 'C 1 2/c 1'
_symmetry_Int_Tables_number 15
_symmetry_space_group_name_Hall '-C 2yc'
loop_
_atom_site_label
_atom_site_type_symbol
_atom_site_fract_x
_atom_site_fract_y
_atom_site_fract_z
_atom_site_occupancy
Gd1 Gd 0.140 0.007 0.250 1
Hf1 Hf 0.000 0.500 0.000 1
O1 O 0.000 0.329 0.250 1
O2 O 0.073 0.177 0.956 1
O3 O 0.172 0.350 0.641 1
```

Peak list (12 most intense, 2θ from 10° to 80°, by angle)
2θ (°)	d/Å	I_rel	index
16.08	5.512	21	2 0 0
23.92	3.720	28	2 0 -2
28.19	3.166	81	1 1 -2
29.15	3.064	100	3 1 0
32.27	2.774	40	0 2 0
32.48	2.757	34	4 0 -2
33.43	2.681	41	1 1 2
46.44	1.955	38	4 2 -2
50.25	1.816	28	3 1 -4
55.64	1.652	19	3 3 0
56.46	1.630	21	7 1 -2
76.99	1.239	16	4 4 -2

---

Record 5
The following is a computed X-ray powder pattern of Ta2Ni3Ge. It was derived from a cell relaxed with GGA-PBE, using a wavelength of 1.5418 Å.

Structural model:
```
data_Ta2Ni3Ge
_chemical_formula_sum 'Ta4 Ni6 Ge2'
_cell_length_a 4.8933
_cell_length_b 4.8933
_cell_length_c 7.7425
_cell_angle_alpha 90.00
_cell_angle_beta 90.00
_cell_angle_gamma 120.00
_symmetry_space_group_name_H-M 'P 63/m m c'
_symmetry_Int_Tables_number 194
_symmetry_space_group_name_Hall '-P 6c 2c'
loop_
_atom_site_label
_atom_site_type_symbol
_atom_site_fract_x
_atom_site_fract_y
_atom_site_fract_z
_atom_site_occupancy
Ta1 Ta 0.3333 0.6667 0.0584 1
Ni1 Ni 0.1714 0.3429 0.7500 1
Ge1 Ge 0.0000 0.0000 0.0000 1
```

Peak list (12 most intense, 2θ from 10° to 80°, by angle)
2θ (°)	d/Å	I_rel	index
20.96	4.238	12	1 0 0
36.73	2.447	67	1 1 0
40.94	2.204	83	1 0 3
42.67	2.119	13	2 0 0
43.77	2.068	100	1 1 2
44.32	2.044	46	2 0 1
64.02	1.454	12	1 0 5
66.15	1.413	12	3 0 0
69.01	1.361	33	2 1 3
71.03	1.327	24	3 0 2
76.14	1.250	25	2 0 5
78.13	1.223	21	2 2 0